Simulated PXRD pattern
Compound: Tm2Sb
Radiation: Cu Kα
Structure: a GGA-PBE-relaxed structure

Atomic structure:
```
data_Tm2Sb
_space_group_name_H-M_alt 'C m c 21'
_space_group_IT_number 36
_space_group_name_Hall 'C 2c -2'
_cell_length_a 4.0915
_cell_length_b 19.5766
_cell_length_c 8.3613
_cell_angle_alpha 90.00
_cell_angle_beta 90.00
_cell_angle_gamma 90.00
loop_
_atom_site_label
_atom_site_type_symbol
_atom_site_fract_x
_atom_site_fract_y
_atom_site_fract_z
Tm1 Tm 0.0000 0.0312 0.0000
Tm2 Tm 0.0000 0.1692 0.3683
Tm3 Tm 0.0000 0.3298 0.5429
Tm4 Tm 0.0000 0.3982 0.1741
Sb1 Sb 0.0000 0.2116 0.7767
Sb2 Sb 0.0000 0.4473 0.7944
```

Largest 10 diffraction maxima, sorted by position, 10° ≤ 2θ ≤ 80°:
h k l, 2theta, I (rel.)
1 3 1, 27.86, 255
1 1 2, 30.92, 318
1 5 0, 31.63, 244
0 2 3, 33.44, 1000
1 3 2, 33.58, 828
0 8 1, 38.35, 344
2 0 0, 44.28, 303
2 2 3, 56.59, 169
1 11 1, 57.55, 198
1 1 5, 59.96, 274